[1]
The following is a theoretical X-ray powder pattern of PaFeS4. It was derived from a structure optimized by DFT (GGA-PBE), using CuKα.
Kinematic intensities with the Lorentz-polarization factor, no thermal factor.

Cell: 6.330 6.212 6.218 Å, 90.00 101.64 90.00°
Fractional positions:
Pa: 0.000 0.000 0.000
Pa: 0.000 0.500 0.500
Fe: 0.500 0.000 0.500
Fe: 0.500 0.500 0.000
S: 0.198 0.170 0.386
S: 0.198 0.330 0.886
S: 0.320 0.720 0.264
S: 0.320 0.780 0.764
S: 0.680 0.220 0.236
S: 0.680 0.280 0.736
S: 0.802 0.670 0.114
S: 0.802 0.830 0.614

Main lines, by angle (2θ = 10–90°):
2theta, I/Imax
14.29, 44
20.42, 32
23.23, 100
26.68, 62
28.77, 25
29.33, 18
32.24, 22
32.98, 22
41.14, 34
41.53, 31
45.81, 30
46.53, 21

[2]
The following is a theoretical X-ray powder pattern of Pr3SiN3O2. It was derived from a structure optimized by DFT (GGA-PBE), using CuKα.
Kinematic intensities with the Lorentz-polarization factor, no thermal factor.

Cell: 7.297 6.746 7.340 Å, 62.23 54.89 62.89°
Fractional positions:
Pr: 0.000 0.000 0.000
Pr: 0.343 0.343 0.657
Pr: 0.428 0.428 0.072
Pr: 0.489 0.844 0.511
Pr: 0.844 0.489 0.156
Pr: 0.928 0.928 0.572
Si: 0.411 0.916 0.084
Si: 0.916 0.411 0.589
N: 0.156 0.174 0.543
N: 0.174 0.156 0.127
N: 0.375 0.676 0.324
N: 0.457 0.873 0.844
N: 0.676 0.375 0.625
N: 0.873 0.457 0.826
O: 0.160 0.673 0.840
O: 0.653 0.956 0.044
O: 0.673 0.160 0.327
O: 0.956 0.653 0.347

Main lines, by angle (2θ = 10–90°):
2theta, I/Imax
24.51, 18
24.71, 20
30.55, 34
30.88, 32
31.03, 100
32.26, 41
38.37, 34
38.64, 33
42.19, 16
42.56, 19
56.73, 30
57.09, 18

[3]
The following is a theoretical X-ray powder pattern of BaMgAs2O6. It was derived from a structure optimized by DFT (GGA-PBE), using CuKα.
Kinematic intensities with the Lorentz-polarization factor, no thermal factor.

Cell: 6.675 6.675 6.675 Å, 49.83 49.83 49.83°
Fractional positions:
Ba: 0.000 0.000 0.000
Mg: 0.500 0.500 0.500
As: 0.260 0.260 0.260
As: 0.740 0.740 0.740
O: 0.086 0.496 0.714
O: 0.286 0.914 0.504
O: 0.496 0.714 0.086
O: 0.504 0.286 0.914
O: 0.714 0.086 0.496
O: 0.914 0.504 0.286

Main lines, by angle (2θ = 10–90°):
2theta, I/Imax
15.19, 13
18.91, 15
27.41, 100
31.82, 45
35.44, 26
42.48, 21
45.46, 20
54.04, 26
56.55, 12
56.70, 16
66.37, 12
73.35, 12

[4]
The following is a theoretical X-ray powder pattern of Nd2SiO5. It was derived from a structure optimized by DFT (GGA-PBE), using CuKα.
Kinematic intensities with the Lorentz-polarization factor, no thermal factor.

Cell: 8.230 8.230 10.922 Å, 118.66 118.66 50.49°
Fractional positions:
Nd: 0.024 0.266 0.834
Nd: 0.211 0.716 0.536
Nd: 0.266 0.024 0.334
Nd: 0.284 0.789 0.964
Nd: 0.716 0.211 0.036
Nd: 0.734 0.976 0.666
Nd: 0.789 0.284 0.464
Nd: 0.976 0.734 0.166
Si: 0.232 0.408 0.692
Si: 0.408 0.232 0.192
Si: 0.592 0.768 0.808
Si: 0.768 0.592 0.308
O: 0.064 0.348 0.672
O: 0.074 0.892 0.104
O: 0.101 0.662 0.683
O: 0.108 0.926 0.396
O: 0.239 0.367 0.066
O: 0.338 0.899 0.817
O: 0.348 0.064 0.172
O: 0.367 0.239 0.566
O: 0.405 0.408 0.353
O: 0.408 0.405 0.853
O: 0.592 0.595 0.147
O: 0.595 0.592 0.647
O: 0.633 0.761 0.434
O: 0.652 0.936 0.828
O: 0.662 0.101 0.183
O: 0.761 0.633 0.934
O: 0.892 0.074 0.604
O: 0.899 0.338 0.317
O: 0.926 0.108 0.896
O: 0.936 0.652 0.328

Main lines, by angle (2θ = 10–90°):
2theta, I/Imax
14.44, 33
21.99, 100
24.29, 61
27.17, 64
28.23, 84
28.83, 39
29.11, 36
29.36, 99
33.96, 43
35.56, 35
39.78, 31
50.70, 33